V2Ir3Pt2: theoretical powder XRD pattern (Cu Kα (λ = 1.5418 Å)), based on DFT lattice parameters and positions (PBE).

Structure:
a b c (Å): 11.4091 11.4091 5.4605
angles (deg): 90.00 90.00 120.00
Space group R3 (No. 146, hexagonal axes)
Inequivalent atoms, fractional coordinates:
V1 0.0000 0.0000 0.0000 (multiplicity 3)
V2 0.0451 0.2348 0.4518 (multiplicity 9)
Ir1 0.0379 0.2446 0.9555 (multiplicity 9)
Ir2 0.1588 0.7053 0.8945 (multiplicity 9)
Pt1 0.0000 0.0000 0.5094 (multiplicity 3)
Pt2 0.1371 0.6990 0.3977 (multiplicity 9)

Largest 8 diffraction maxima, in order of rising 2θ, 2θ from 10° to 90°:
3.083 Å, I 21, (2 1 1)
2.390 Å, I 20, (2 0 2)
2.204 Å, I 84, (3 -2 2)
2.156 Å, I 100, (1 4 0)
1.934 Å, I 22, (3 1 2)
1.541 Å, I 15, (4 2 2)
1.254 Å, I 14, (0 7 2)
1.245 Å, I 16, (6 3 0)

La4Ge6O19: theoretical powder XRD pattern (Cu Kα (λ = 1.5418 Å)), based on DFT lattice parameters and positions (PBE).

Structure:
a b c (Å): 8.908 8.908 8.908
angles (deg): 90.00 90.00 90.00
Space group I23 (No. 197)
Inequivalent atoms, fractional coordinates:
La1 0.162 0.162 0.162 (multiplicity 8)
Ge1 0.000 0.161 0.500 (multiplicity 12)
O1 0.000 0.000 0.000 (multiplicity 2)
O2 0.000 0.000 0.353 (multiplicity 12)
O3 0.034 0.289 0.666 (multiplicity 24)

Largest 8 diffraction maxima, in order of rising 2θ, 2θ from 10° to 90°:
3.637 Å, I 100, (2 1 1)
2.817 Å, I 80, (3 0 1)
2.381 Å, I 40, (3 1 2)
2.100 Å, I 61, (3 3 0)
1.818 Å, I 23, (4 2 2)
1.747 Å, I 29, (4 3 1)
1.626 Å, I 21, (5 1 2)
1.485 Å, I 35, (6 0 0)

NdEr3Ir: theoretical powder XRD pattern (Cu Kα (λ = 1.5418 Å)), based on DFT lattice parameters and positions (PBE).

Structure:
a b c (Å): 7.879 7.374 10.091
angles (deg): 90.00 106.53 90.00
Space group P2_1/c (No. 14)
Inequivalent atoms, fractional coordinates:
Nd1 0.189 0.043 0.255 (multiplicity 4)
Er1 0.074 0.706 0.031 (multiplicity 4)
Er2 0.292 0.512 0.381 (multiplicity 4)
Er3 0.408 0.127 0.603 (multiplicity 4)
Ir1 0.443 0.745 0.608 (multiplicity 4)

Largest 8 diffraction maxima, in order of rising 2θ, 2θ from 10° to 90°:
7.554 Å, I 53, (1 0 0)
3.033 Å, I 66, (1 1 -3)
2.952 Å, I 70, (2 1 1)
2.908 Å, I 68, (1 2 -2)
2.638 Å, I 100, (2 2 0)
2.550 Å, I 70, (3 0 -2)
2.521 Å, I 58, (1 0 -4)
2.383 Å, I 41, (0 3 1)

NaMnSiS4: theoretical powder XRD pattern (Cu Kα (λ = 1.5418 Å)), based on DFT lattice parameters and positions (PBE).

Structure:
a b c (Å): 6.052 6.640 7.457
angles (deg): 90.00 90.65 90.00
Space group P2_1/m (No. 11)
Inequivalent atoms, fractional coordinates:
Na1 0.220 0.250 0.077 (multiplicity 2)
Mn1 0.190 0.750 0.454 (multiplicity 2)
Si1 0.324 0.250 0.657 (multiplicity 2)
S1 0.088 0.012 0.700 (multiplicity 4)
S2 0.395 0.750 0.173 (multiplicity 2)
S3 0.461 0.250 0.400 (multiplicity 2)

Largest 8 diffraction maxima, in order of rising 2θ, 2θ from 10° to 90°:
7.457 Å, I 100, (0 0 1)
4.959 Å, I 23, (0 1 1)
3.320 Å, I 25, (0 2 0)
2.911 Å, I 30, (1 2 0)
2.876 Å, I 20, (1 1 -2)
2.574 Å, I 22, (2 1 1)
2.204 Å, I 22, (2 1 2)
2.180 Å, I 19, (1 1 -3)

KTiAg2F8: theoretical powder XRD pattern (Cu Kα (λ = 1.5418 Å)), based on DFT lattice parameters and positions (PBE).

Structure:
a b c (Å): 5.5593 5.5593 7.5497
angles (deg): 90.00 90.00 120.00
Space group P-3m1 (No. 164)
Inequivalent atoms, fractional coordinates:
K1 0.0000 0.0000 0.0000 (multiplicity 1)
Ti1 0.0000 0.0000 0.5000 (multiplicity 1)
Ag1 0.3333 0.6667 0.3626 (multiplicity 2)
F1 0.1608 0.3215 0.6433 (multiplicity 6)
F2 0.3333 0.6667 0.0905 (multiplicity 2)

Largest 8 diffraction maxima, in order of rising 2θ, 2θ from 10° to 90°:
7.550 Å, I 100, (0 0 1)
4.059 Å, I 80, (0 1 1)
2.971 Å, I 43, (1 0 2)
2.780 Å, I 70, (1 1 0)
2.293 Å, I 55, (2 0 1)
2.230 Å, I 16, (1 0 3)
2.030 Å, I 43, (0 2 2)
1.740 Å, I 17, (0 2 3)

TaAs4: theoretical powder XRD pattern (Cu Kα (λ = 1.5418 Å)), based on DFT lattice parameters and positions (PBE).

Structure:
a b c (Å): 6.062 6.062 6.062
angles (deg): 90.00 90.00 90.00
Space group Im-3m (No. 229)
Inequivalent atoms, fractional coordinates:
Ta1 0.000 0.000 0.000 (multiplicity 2)
As1 0.250 0.250 0.250 (multiplicity 8)

Largest 8 diffraction maxima, in order of rising 2θ, 2θ from 10° to 90°:
4.286 Å, I 83, (1 1 0)
2.475 Å, I 41, (2 1 1)
2.143 Å, I 100, (2 2 0)
1.917 Å, I 19, (3 1 0)
1.620 Å, I 23, (3 2 1)
1.515 Å, I 17, (4 0 0)
1.237 Å, I 34, (4 2 2)
1.189 Å, I 12, (5 1 0)